Calculated PXRD pattern
Compound: Zr2CuGe4
Radiation: Cu Kα (λ = 1.5418 Å)
Structure: a structure optimized by DFT (PBE)
Peak positions follow from Bragg's law for the DFT cell and can differ from measured ones.

Top 10 peaks for 2θ from 10° to 90°, by angle:
- 29.9 deg, I 8
- 37.9 deg, I 18
- 38.1 deg, I 100
- 47.2 deg, I 17
- 47.3 deg, I 20
- 62.1 deg, I 8
- 62.2 deg, I 6
- 69.0 deg, I 10
- 81.6 deg, I 16
- 81.9 deg, I 10

abc: 3.8547 33.1933 3.8403
angles: 90.00 90.00 90.00
Space group Cmcm (No. 63)
One atom of each set of equivalent atoms:
Zr  0.0000  0.0468  0.2500 x4
Zr  0.0000  0.3225  0.2500 x4
Cu  0.0000  0.2501  0.7500 x4
Ge  0.0000  0.1134  0.7500 x4
Ge  0.0000  0.2030  0.2500 x4
Ge  0.0000  0.3872  0.7500 x4
Ge  0.0000  0.4723  0.2500 x4